Starting from a DFT-relaxed cell (GGA-PBE, Alexandria), the powder XRD pattern of Pu6PaGa2 was calculated for Cu Ka.
Lines closer than 0.1° are merged.

The 10 most intense peaks (10° ≤ 2θ ≤ 90°), by angle:
2theta, I (rel.), index
22.7, 22, 2 0 -2
33.2, 46, 1 3 1
34.1, 24, 0 4 0
35.5, 98, 3 1 -3
35.8, 95, 1 1 2
36.2, 100, 4 2 -1
36.4, 26, 3 3 -2
37.0, 70, 0 4 1
42.1, 20, 4 2 0
43.5, 23, 1 3 2

Structural model:
a b c (Å): 11.6432 10.5228 7.8626
angles (deg): 90.00 126.06 90.00
Space group C2/c (No. 15)
One atom of each set of equivalent atoms:
Pu1 0.0077 0.1239 0.4370 (multiplicity 8)
Pu2 0.1114 0.4126 0.2028 (multiplicity 8)
Pu3 0.2463 0.3087 0.6886 (multiplicity 8)
Pa1 0.0000 0.3206 0.7500 (multiplicity 4)
Ga1 0.1851 0.0798 0.9091 (multiplicity 8)